Computed PXRD pattern of B6SeN6 for copper Kα, from a structure optimized by DFT (GGA-PBE).

Largest 10 diffraction maxima, by intensity, 2θ = 5–70°:
19.23°, d = 4.616 Å, intensity 100
48.29°, d = 1.885 Å, intensity 75
43.85°, d = 2.065 Å, intensity 48
39.02°, d = 2.308 Å, intensity 37
33.63°, d = 2.665 Å, intensity 34
60.13°, d = 1.539 Å, intensity 22
27.32°, d = 3.264 Å, intensity 14
67.26°, d = 1.392 Å, intensity 13
63.75°, d = 1.460 Å, intensity 5
56.37°, d = 1.632 Å, intensity 3

Atomic structure:
a = 4.6164 Å, b = 4.6164 Å, c = 4.6164 Å
α = 90.00°, β = 90.00°, γ = 90.00°
Space group Pm-3 (No. 200)
Asymmetric unit:
B1 0.0000 0.2459 0.5000 x6
Se1 0.0000 0.0000 0.0000 x1
N1 0.0000 0.5000 0.2552 x6

---

Computed PXRD pattern of LaPa2O7 for copper Kα, from a structure optimized by DFT (GGA-PBE).

Largest 10 diffraction maxima, by intensity, 2θ = 5–70°:
26.74°, d = 3.334 Å, intensity 100
32.73°, d = 2.736 Å, intensity 68
46.13°, d = 1.968 Å, intensity 59
29.67°, d = 3.011 Å, intensity 54
24.95°, d = 3.569 Å, intensity 51
47.79°, d = 1.903 Å, intensity 46
26.30°, d = 3.389 Å, intensity 42
53.15°, d = 1.723 Å, intensity 40
16.56°, d = 5.353 Å, intensity 33
52.93°, d = 1.730 Å, intensity 24

Atomic structure:
a = 3.9353 Å, b = 3.9353 Å, c = 32.1203 Å
α = 90.00°, β = 90.00°, γ = 120.00°
Space group R-3m (No. 166, hexagonal axes)
Asymmetric unit:
La1 0.0000 0.0000 0.0000 x3
Pa1 0.0000 0.0000 0.4329 x6
O1 0.0000 0.0000 0.0794 x6
O2 0.0000 0.0000 0.2185 x6
O3 0.0000 0.0000 0.3644 x6
O4 0.0000 0.0000 0.5000 x3

---

Computed PXRD pattern of TmGa2Au3 for copper Kα, from a structure optimized by DFT (GGA-PBE).

Largest 10 diffraction maxima, by intensity, 2θ = 5–70°:
33.47°, d = 2.677 Å, intensity 100
34.62°, d = 2.591 Å, intensity 86
40.26°, d = 2.240 Å, intensity 81
31.92°, d = 2.804 Å, intensity 66
38.10°, d = 2.362 Å, intensity 62
52.42°, d = 1.746 Å, intensity 50
47.80°, d = 1.903 Å, intensity 43
25.52°, d = 3.491 Å, intensity 36
61.34°, d = 1.511 Å, intensity 34
26.34°, d = 3.383 Å, intensity 34

Atomic structure:
a = 5.1816 Å, b = 14.1726 Å, c = 3.4842 Å
α = 90.00°, β = 90.00°, γ = 90.00°
Space group Pmmn (No. 59, origin choice 2)
Asymmetric unit:
Tm1 0.2500 0.2500 0.2459 x2
Ga1 0.2500 0.5666 0.2454 x4
Au1 0.2500 0.0824 0.7463 x4
Au2 0.2500 0.7500 0.2532 x2

---

Computed PXRD pattern of Ba2LiHg6Pt for copper Kα, from a structure optimized by DFT (GGA-PBE).

Largest 10 diffraction maxima, by intensity, 2θ = 5–70°:
29.43°, d = 3.035 Å, intensity 100
34.08°, d = 2.631 Å, intensity 59
48.98°, d = 1.860 Å, intensity 53
34.18°, d = 2.623 Å, intensity 29
58.13°, d = 1.587 Å, intensity 22
16.87°, d = 5.257 Å, intensity 19
58.24°, d = 1.584 Å, intensity 15
60.97°, d = 1.520 Å, intensity 11
61.16°, d = 1.515 Å, intensity 11
49.16°, d = 1.853 Å, intensity 10

Atomic structure:
a = 10.4928 Å, b = 10.5271 Å, c = 7.4140 Å
α = 90.00°, β = 134.80°, γ = 90.00°
Space group C2/m (No. 12)
Asymmetric unit:
Ba1 0.0000 0.2502 0.0000 x4
Li1 0.0000 0.0000 0.5000 x2
Hg1 0.0000 0.2416 0.5000 x4
Hg2 0.2395 0.0000 0.4963 x4
Hg3 0.2423 0.0000 0.9829 x4
Pt1 0.0000 0.5000 0.5000 x2

---

Computed PXRD pattern of SrIn2O3 for copper Kα, from a structure optimized by DFT (GGA-PBE).

Largest 10 diffraction maxima, by intensity, 2θ = 5–70°:
30.13°, d = 2.966 Å, intensity 100
32.31°, d = 2.771 Å, intensity 69
44.76°, d = 2.025 Å, intensity 40
54.90°, d = 1.672 Å, intensity 32
40.96°, d = 2.203 Å, intensity 26
53.51°, d = 1.713 Å, intensity 24
64.80°, d = 1.439 Å, intensity 22
62.64°, d = 1.483 Å, intensity 14
55.89°, d = 1.645 Å, intensity 8
17.26°, d = 5.138 Å, intensity 7

Atomic structure:
a = 10.2671 Å, b = 5.9373 Å, c = 6.5805 Å
α = 90.00°, β = 90.00°, γ = 90.00°
Space group Cmcm (No. 63)
Asymmetric unit:
Sr1 0.0000 0.0000 0.2500 x4
In1 0.1667 0.5000 0.0000 x8
O1 0.0000 0.4121 0.2500 x4
O2 0.2061 0.2066 0.7500 x8

---

Computed PXRD pattern of InPb6 for copper Kα, from a structure optimized by DFT (GGA-PBE).

Largest 10 diffraction maxima, by intensity, 2θ = 5–70°:
31.91°, d = 2.805 Å, intensity 100
36.46°, d = 2.464 Å, intensity 36
62.78°, d = 1.480 Å, intensity 30
53.75°, d = 1.705 Å, intensity 23
38.10°, d = 2.362 Å, intensity 15
20.32°, d = 4.370 Å, intensity 14
64.99°, d = 1.435 Å, intensity 13
52.52°, d = 1.742 Å, intensity 13
66.70°, d = 1.402 Å, intensity 12
42.10°, d = 2.146 Å, intensity 5

Atomic structure:
a = 4.9284 Å, b = 4.9284 Å, c = 9.4489 Å
α = 90.00°, β = 90.00°, γ = 90.00°
Space group P4/mmm (No. 123)
Asymmetric unit:
In1 0.0000 0.0000 0.0000 x1
Pb1 0.0000 0.0000 0.5000 x1
Pb2 0.0000 0.5000 0.2617 x4
Pb3 0.5000 0.5000 0.0000 x1

---

Computed PXRD pattern of As3SBr for copper Kα, from a structure optimized by DFT (GGA-PBE).

Largest 10 diffraction maxima, by intensity, 2θ = 5–70°:
31.66°, d = 2.826 Å, intensity 100
36.72°, d = 2.447 Å, intensity 76
52.91°, d = 1.730 Å, intensity 52
62.99°, d = 1.476 Å, intensity 41
66.13°, d = 1.413 Å, intensity 17
25.74°, d = 3.461 Å, intensity 5
18.12°, d = 4.895 Å, intensity 4
45.39°, d = 1.998 Å, intensity 2
41.24°, d = 2.189 Å, intensity 1
59.75°, d = 1.548 Å, intensity 1

Atomic structure:
a = 4.8945 Å, b = 4.8945 Å, c = 4.8945 Å
α = 90.00°, β = 90.00°, γ = 90.00°
Space group Pm-3m (No. 221)
Asymmetric unit:
As1 0.0000 0.0000 0.5000 x3
S1 0.0000 0.0000 0.0000 x1
Br1 0.5000 0.5000 0.5000 x1

---

Computed PXRD pattern of Dy4Te2PPd for copper Kα, from a structure optimized by DFT (GGA-PBE).

Largest 10 diffraction maxima, by intensity, 2θ = 5–70°:
30.03°, d = 2.976 Å, intensity 100
29.87°, d = 2.992 Å, intensity 51
42.95°, d = 2.106 Å, intensity 40
42.78°, d = 2.114 Å, intensity 32
53.99°, d = 1.698 Å, intensity 19
43.88°, d = 2.063 Å, intensity 19
42.07°, d = 2.148 Å, intensity 16
32.90°, d = 2.723 Å, intensity 10
62.42°, d = 1.488 Å, intensity 10
52.60°, d = 1.740 Å, intensity 10

Atomic structure:
a = 7.3462 Å, b = 4.1265 Å, c = 7.3843 Å
α = 90.00°, β = 108.65°, γ = 90.00°
Space group P2/m (No. 10)
Asymmetric unit:
Dy1 0.2308 0.0000 0.2152 x2
Dy2 0.2587 0.5000 0.7872 x2
Te1 0.0000 0.0000 0.5000 x1
Te2 0.5000 0.5000 0.5000 x1
P1 0.0000 0.5000 0.0000 x1
Pd1 0.5000 0.0000 0.0000 x1

---

Computed PXRD pattern of LiAcPm2Hg4 for copper Kα, from a structure optimized by DFT (GGA-PBE).

Largest 10 diffraction maxima, by intensity, 2θ = 5–70°:
33.99°, d = 2.637 Å, intensity 100
32.54°, d = 2.751 Å, intensity 93
59.92°, d = 1.544 Å, intensity 33
47.77°, d = 1.904 Å, intensity 33
25.32°, d = 3.518 Å, intensity 21
60.83°, d = 1.523 Å, intensity 19
57.13°, d = 1.612 Å, intensity 11
23.36°, d = 3.808 Å, intensity 10
19.70°, d = 4.507 Å, intensity 9
29.95°, d = 2.983 Å, intensity 8

Atomic structure:
a = 5.2749 Å, b = 5.2749 Å, c = 27.5721 Å
α = 90.00°, β = 90.00°, γ = 120.00°
Space group R-3m (No. 166, hexagonal axes)
Asymmetric unit:
Li1 0.0000 0.0000 0.0000 x3
Ac1 0.0000 0.0000 0.5000 x3
Pm1 0.0000 0.0000 0.2593 x6
Hg1 0.0000 0.0000 0.1122 x6
Hg2 0.0000 0.0000 0.3721 x6

---

Computed PXRD pattern of CsTc2H8 for copper Kα, from a structure optimized by DFT (GGA-PBE).

Largest 10 diffraction maxima, by intensity, 2θ = 5–70°:
25.35°, d = 3.513 Å, intensity 100
46.91°, d = 1.937 Å, intensity 37
37.36°, d = 2.407 Å, intensity 37
27.33°, d = 3.263 Å, intensity 28
45.70°, d = 1.985 Å, intensity 20
47.13°, d = 1.928 Å, intensity 18
60.45°, d = 1.532 Å, intensity 17
13.57°, d = 6.526 Å, intensity 10
69.61°, d = 1.351 Å, intensity 9
61.63°, d = 1.505 Å, intensity 8

Atomic structure:
a = 4.8125 Å, b = 8.3387 Å, c = 6.5255 Å
α = 90.00°, β = 90.09°, γ = 90.00°
Space group Cm (No. 8)
Asymmetric unit:
Cs1 0.0000 0.0000 0.0000 x2
Tc1 0.0006 0.3332 0.4803 x4
H1 0.9996 0.3330 0.2313 x4
H2 0.1499 0.1495 0.3844 x4
H3 0.2000 0.5000 0.3837 x2
H4 0.3286 0.3278 0.6232 x4
H5 0.3468 0.0000 0.6239 x2